For Sc2TaTcC6, a structure optimized by DFT (PBE) gives the computed XRD peak list in this record (Cu Kα (λ = 1.5418 Å)).
Lines closer than 0.1° are merged.

Cell and atoms:
```
data_Sc2TaTcC6
_chemical_formula_sum 'Sc4 Ta2 Tc2 C12'
_space_group_name_H-M_alt 'P 1'
_space_group_IT_number 1
_space_group_name_Hall 'P 1'
_cell_length_a 5.330
_cell_length_b 5.330
_cell_length_c 9.975
_cell_angle_alpha 90.00
_cell_angle_beta 90.00
_cell_angle_gamma 120.00
loop_
_atom_site_label
_atom_site_fract_x
_atom_site_fract_y
_atom_site_fract_z
Sc1 0.333 0.667 0.053
Sc2 0.333 0.667 0.447
Sc3 0.667 0.333 0.553
Sc4 0.667 0.333 0.947
Ta1 0.000 0.000 0.250
Ta2 0.000 0.000 0.750
Tc1 0.333 0.667 0.750
Tc2 0.667 0.333 0.250
C1 0.085 0.341 0.888
C2 0.085 0.744 0.612
C3 0.256 0.341 0.612
C4 0.256 0.915 0.888
C5 0.341 0.085 0.388
C6 0.341 0.256 0.112
C7 0.659 0.744 0.888
C8 0.659 0.915 0.612
C9 0.744 0.085 0.112
C10 0.744 0.659 0.388
C11 0.915 0.256 0.388
C12 0.915 0.659 0.112
```

Largest 10 diffraction maxima, in order of rising 2θ, 5° ≤ 2θ ≤ 70°:
d 4.988, 2θ = 17.78°, I = 510, (0 0 2)
d 4.616, 2θ = 19.23°, I = 255, (1 0 0)
d 4.189, 2θ = 21.21°, I = 292, (1 0 1)
d 3.388, 2θ = 26.31°, I = 844, (1 0 2)
d 2.698, 2θ = 33.21°, I = 350, (1 0 3)
d 2.665, 2θ = 33.63°, I = 1000, (1 1 0)
d 2.351, 2θ = 38.29°, I = 564, (2 -1 2)
d 2.095, 2θ = 43.19°, I = 235, (2 0 2)
d 1.821, 2θ = 50.09°, I = 567, (1 1 4)
d 1.539, 2θ = 60.13°, I = 230, (3 0 0)